Simulated X-ray diffraction stick pattern of LaCo2Se for a wavelength of 1.5418 Å, from the GGA-PBE geometry in Alexandria.

Crystal structure
Cell: 4.0243 4.0243 15.0385 Å, 90.00 90.00 120.00°
Space group R-3m (No. 166, hexagonal axes)
Symmetry-distinct sites (fractional):
La (0.0000, 0.0000, 0.0000) x3
Co (0.0000, 0.0000, 0.2014) x6
Se (0.0000, 0.0000, 0.5000) x3

Top 12 peaks for 15° ≤ 2θ ≤ 90°, sorted by position:
d/Å	Position (°2θ)	I_rel	hkl
3.395	26.25	284	1 0 1
3.162	28.22	344	0 1 2
2.556	35.11	1000	1 0 4
2.506	35.83	291	0 0 6
2.277	39.58	351	0 1 5
2.012	45.06	847	1 1 0
1.581	58.37	224	0 2 4
1.569	58.85	404	1 1 6
1.381	67.88	238	1 0 10
1.243	76.65	198	2 1 4
1.162	83.15	135	3 0 0
1.139	85.24	127	0 2 10

---

Simulated X-ray diffraction stick pattern of DyTePd6 for a wavelength of 1.5418 Å, from the GGA-PBE geometry in Alexandria.

Crystal structure
Cell: 4.1021 4.1021 8.2121 Å, 90.00 90.00 90.00°
Space group P4/mmm (No. 123)
Symmetry-distinct sites (fractional):
Dy (0.0000, 0.0000, 0.0000) x1
Te (0.0000, 0.0000, 0.5000) x1
Pd (0.0000, 0.5000, 0.2534) x4
Pd (0.5000, 0.5000, 0.0000) x1
Pd (0.5000, 0.5000, 0.5000) x1

Top 10 peaks for 15° ≤ 2θ ≤ 90°, sorted by position:
d/Å	Position (°2θ)	I_rel	hkl
4.103	21.66	15	0 0 2
2.902	30.82	13	1 1 0
2.736	32.73	5	0 0 3
2.369	37.98	1000	1 1 2
2.052	44.14	488	2 0 0
1.835	49.68	8	2 0 2
1.675	54.80	6	1 1 4
1.451	64.20	314	2 2 0
1.237	77.09	367	3 1 2
1.185	81.21	107	2 2 4